[1]
Structure and computed X-ray powder pattern of Li3TaN2 (a crystal structure in the Materials Project, relaxed with PBE; a wavelength of 1.5418 Å).
No peak broadening, texture or thermal motion is included.

Atomic structure:
```
data_Li3TaN2
_space_group_name_H-M_alt 'I a -3'
_space_group_IT_number 206
_space_group_name_Hall '-I 2b 2c 3'
_cell_length_a 9.9203
_cell_length_b 9.9203
_cell_length_c 9.9203
_cell_angle_alpha 90.00
_cell_angle_beta 90.00
_cell_angle_gamma 90.00
loop_
_atom_site_label
_atom_site_fract_x
_atom_site_fract_y
_atom_site_fract_z
Li1 0.1048 0.1658 0.3917
Ta1 0.1180 0.1180 0.1180
N1 0.0000 0.0000 0.0000
N2 0.0000 0.2500 0.2318
```

Peak list (12 most intense, 10° ≤ 2θ ≤ 90°, most intense first)
- 21.95 deg, d 4.050, intensity 1000
- 33.81 deg, d 2.651, intensity 704
- 52.16 deg, d 1.754, intensity 279
- 36.22 deg, d 2.480, intensity 247
- 57.25 deg, d 1.609, intensity 236
- 42.75 deg, d 2.115, intensity 193
- 50.38 deg, d 1.811, intensity 191
- 69.65 deg, d 1.350, intensity 175
- 75.45 deg, d 1.260, intensity 129
- 63.61 deg, d 1.463, intensity 125
- 88.07 deg, d 1.109, intensity 74
- 86.68 deg, d 1.123, intensity 62

[2]
Structure and computed X-ray powder pattern of SrSc2O4 (a crystal structure in the Materials Project, relaxed with PBE; a wavelength of 1.5418 Å).
No peak broadening, texture or thermal motion is included.

Atomic structure:
```
data_SrSc2O4
_space_group_name_H-M_alt 'P n m a'
_space_group_IT_number 62
_space_group_name_Hall '-P 2ac 2n'
_cell_length_a 9.7604
_cell_length_b 3.2094
_cell_length_c 11.3495
_cell_angle_alpha 90.00
_cell_angle_beta 90.00
_cell_angle_gamma 90.00
loop_
_atom_site_label
_atom_site_fract_x
_atom_site_fract_y
_atom_site_fract_z
Sr1 0.2453 0.2500 0.1521
Sc1 0.0709 0.2500 0.3900
Sc2 0.0779 0.2500 0.8932
O1 0.0209 0.7500 0.7833
O2 0.0739 0.2500 0.5740
O3 0.1169 0.7500 0.0203
O4 0.2082 0.7500 0.3402
```

Peak list (12 most intense, 10° ≤ 2θ ≤ 90°, most intense first)
- 31.70 deg, d 2.822, intensity 1000
- 37.90 deg, d 2.374, intensity 718
- 31.53 deg, d 2.837, intensity 480
- 40.26 deg, d 2.240, intensity 464
- 33.38 deg, d 2.684, intensity 420
- 57.45 deg, d 1.604, intensity 342
- 67.07 deg, d 1.396, intensity 323
- 28.91 deg, d 3.088, intensity 259
- 18.09 deg, d 4.903, intensity 256
- 46.43 deg, d 1.956, intensity 245
- 47.49 deg, d 1.915, intensity 226
- 46.60 deg, d 1.949, intensity 217